Calculated X-ray powder pattern
Compound: Nb3GaCN
Radiation: copper Kα
Structure: a structure optimized by DFT (PBE)
Peak positions follow from Bragg's law for the DFT cell and can differ from measured ones.

Lattice parameters (Å, degrees): 3.131 3.131 18.901 90.00 90.00 120.00
Fractional coordinates of all 12 atoms:
1 Nb 0.000 0.000 0.000
2 Nb 0.000 0.000 0.500
3 Nb 0.333 0.667 0.133
4 Nb 0.333 0.667 0.365
5 Nb 0.667 0.333 0.635
6 Nb 0.667 0.333 0.867
7 Ga 0.000 0.000 0.249
8 Ga 0.000 0.000 0.751
9 C 0.333 0.667 0.570
10 C 0.667 0.333 0.430
11 N 0.333 0.667 0.932
12 N 0.667 0.333 0.068

Principal peaks in the range 5 to 70 degrees two-theta, most intense first:
2θ (°)	Rel. int.
38.27	100.0
40.96	30.8
59.01	28.2
33.39	27.6
38.09	24.5
55.33	13.9
68.95	13.8
36.06	9.7
51.29	5.3
33.04	4.0
69.52	3.2
47.52	3.2


Calculated X-ray powder pattern
Compound: GaW3CN
Radiation: copper Kα
Structure: a structure optimized by DFT (PBE)
Peak positions follow from Bragg's law for the DFT cell and can differ from measured ones.

Lattice parameters (Å, degrees): 2.905 2.905 20.091 90.00 90.00 120.00
Fractional coordinates of all 12 atoms:
1 Ga 0.000 0.000 0.247
2 Ga 0.000 0.000 0.753
3 W 0.000 0.000 0.000
4 W 0.000 0.000 0.500
5 W 0.333 0.667 0.644
6 W 0.333 0.667 0.864
7 W 0.667 0.333 0.136
8 W 0.667 0.333 0.356
9 C 0.333 0.667 0.071
10 C 0.667 0.333 0.929
11 N 0.333 0.667 0.425
12 N 0.667 0.333 0.575

Principal peaks in the range 5 to 70 degrees two-theta, most intense first:
2θ (°)	Rel. int.
40.09	100.0
42.39	45.9
35.98	40.1
35.75	31.7
64.12	28.1
54.99	22.7
26.62	20.4
67.16	13.4
36.83	12.6
58.82	12.5
38.22	10.8
8.80	10.3


Calculated X-ray powder pattern
Compound: Zr3GaCN
Radiation: copper Kα
Structure: a structure optimized by DFT (PBE)
Peak positions follow from Bragg's law for the DFT cell and can differ from measured ones.

Lattice parameters (Å, degrees): 3.313 3.313 19.368 90.00 90.00 120.00
Fractional coordinates of all 12 atoms:
1 Zr 0.000 0.000 0.000
2 Zr 0.000 0.000 0.500
3 Zr 0.333 0.667 0.133
4 Zr 0.333 0.667 0.365
5 Zr 0.667 0.333 0.635
6 Zr 0.667 0.333 0.867
7 Ga 0.000 0.000 0.248
8 Ga 0.000 0.000 0.752
9 C 0.333 0.667 0.573
10 C 0.667 0.333 0.427
11 N 0.333 0.667 0.931
12 N 0.667 0.333 0.069

Principal peaks in the range 5 to 70 degrees two-theta, most intense first:
2θ (°)	Rel. int.
36.39	100.0
39.07	30.2
55.46	29.5
31.52	27.2
37.14	22.6
68.65	21.9
68.17	15.0
53.20	13.7
66.46	13.0
34.20	9.2
49.24	5.3
69.92	4.9


Calculated X-ray powder pattern
Compound: Nb4GaSbC2
Radiation: copper Kα
Structure: a structure optimized by DFT (PBE)
Peak positions follow from Bragg's law for the DFT cell and can differ from measured ones.

Lattice parameters (Å, degrees): 3.261 3.261 13.376 90.00 90.00 120.00
Fractional coordinates of all 8 atoms:
1 Nb 0.000 0.000 0.159
2 Nb 0.000 0.000 0.841
3 Nb 0.667 0.333 0.334
4 Nb 0.667 0.333 0.666
5 Ga 0.667 0.333 0.000
6 Sb 0.000 0.000 0.500
7 C 0.333 0.667 0.246
8 C 0.333 0.667 0.754

Principal peaks in the range 5 to 70 degrees two-theta, most intense first:
2θ (°)	Rel. int.
37.71	100.0
31.69	23.6
56.44	21.4
40.46	16.6
69.88	15.6
52.28	14.2
6.61	6.0
66.19	2.8
34.48	2.0
46.78	0.9
64.80	0.8
19.91	0.8


Calculated X-ray powder pattern
Compound: Sc2Nb4Ga3C3
Radiation: copper Kα
Structure: a structure optimized by DFT (PBE)
Peak positions follow from Bragg's law for the DFT cell and can differ from measured ones.

Lattice parameters (Å, degrees): 5.543 5.543 14.215 101.45 101.45 59.96
Fractional coordinates of all 24 atoms:
1 Sc 0.035 0.873 0.600
2 Sc 0.127 0.965 0.900
3 Sc 0.873 0.035 0.100
4 Sc 0.965 0.127 0.400
5 Nb 0.195 0.354 0.084
6 Nb 0.297 0.480 0.416
7 Nb 0.354 0.195 0.584
8 Nb 0.480 0.297 0.916
9 Nb 0.520 0.703 0.084
10 Nb 0.646 0.805 0.416
11 Nb 0.703 0.520 0.584
12 Nb 0.805 0.646 0.916
13 Ga 0.085 0.342 0.752
14 Ga 0.342 0.085 0.252
15 Ga 0.490 0.510 0.250
16 Ga 0.510 0.490 0.750
17 Ga 0.658 0.915 0.748
18 Ga 0.915 0.658 0.248
19 C 0.000 0.500 0.500
20 C 0.168 0.664 0.000
21 C 0.336 0.832 0.500
22 C 0.500 0.000 0.000
23 C 0.664 0.168 0.500
24 C 0.832 0.336 0.000

Principal peaks in the range 5 to 70 degrees two-theta, most intense first:
2θ (°)	Rel. int.
37.85	100.0
37.93	48.2
39.07	37.4
32.31	28.1
57.62	20.9
18.62	15.4
51.61	14.6
18.98	12.4
51.46	7.4
69.86	7.1
69.99	6.9
41.41	6.6


Calculated X-ray powder pattern
Compound: Zr2Nb4Ga3C3
Radiation: copper Kα
Structure: a structure optimized by DFT (PBE)
Peak positions follow from Bragg's law for the DFT cell and can differ from measured ones.

Lattice parameters (Å, degrees): 5.542 5.542 14.222 101.40 101.40 60.01
Fractional coordinates of all 24 atoms:
1 Zr 0.035 0.871 0.601
2 Zr 0.129 0.965 0.899
3 Zr 0.871 0.035 0.101
4 Zr 0.965 0.129 0.399
5 Nb 0.195 0.358 0.085
6 Nb 0.300 0.476 0.415
7 Nb 0.358 0.195 0.585
8 Nb 0.476 0.300 0.915
9 Nb 0.524 0.700 0.085
10 Nb 0.642 0.805 0.415
11 Nb 0.700 0.524 0.585
12 Nb 0.805 0.642 0.915
13 Ga 0.084 0.313 0.751
14 Ga 0.313 0.084 0.251
15 Ga 0.478 0.522 0.750
16 Ga 0.522 0.478 0.250
17 Ga 0.687 0.916 0.749
18 Ga 0.916 0.687 0.249
19 C 0.000 0.500 0.500
20 C 0.168 0.665 0.000
21 C 0.335 0.832 0.500
22 C 0.500 0.000 0.000
23 C 0.665 0.168 0.500
24 C 0.832 0.335 0.000

Principal peaks in the range 5 to 70 degrees two-theta, most intense first:
2θ (°)	Rel. int.
37.89	100.0
37.82	52.1
32.31	32.6
39.03	30.5
57.62	26.8
51.50	14.9
69.89	12.9
51.62	7.1
32.97	5.2
67.62	4.0
12.79	3.5
41.72	2.5